(1)
Starting from the GGA-PBE geometry in the Materials Project, the powder XRD pattern of ZrB12 was calculated for a wavelength of 1.5418 Å.
Intensities are scaled so that the largest is 1000.

Atomic structure:
Cell lengths 7.4088, 7.4088, 7.4088 Å; angles 90.00, 90.00, 90.00 degrees
Space group Fm-3m (No. 225)
Asymmetric unit:
Zr  0.0000  0.0000  0.0000 (multiplicity 4)
B  0.0000  0.1695  0.3305 (multiplicity 48)

Peak list (10 most intense, 2θ from 10° to 90°, by angle)
two_theta, d_spacing, I/Imax, index
20.77, 4.277, 627, 1 1 1
24.02, 3.704, 631, 2 0 0
34.23, 2.619, 275, 2 2 0
40.38, 2.234, 1000, 3 1 1
42.26, 2.139, 307, 2 2 2
53.95, 1.700, 269, 3 3 1
55.47, 1.657, 155, 4 2 0
61.30, 1.512, 270, 4 2 2
75.99, 1.252, 288, 5 3 1
77.27, 1.235, 209, 6 0 0

(2)
Starting from the GGA-PBE geometry in the Materials Project, the powder XRD pattern of Li3ErCl6 was calculated for a wavelength of 1.5418 Å.
Intensities are scaled so that the largest is 1000.

Atomic structure:
Cell lengths 11.0873, 11.0873, 6.1125 Å; angles 90.00, 90.00, 120.00 degrees
Space group P321 (No. 150)
Asymmetric unit:
Li  0.0000  0.3465  0.0000 (multiplicity 3)
Li  0.0000  0.6548  0.0000 (multiplicity 3)
Li  0.0000  0.6991  0.5000 (multiplicity 3)
Er  0.0000  0.0000  0.0000 (multiplicity 1)
Er  0.3333  0.6667  0.5113 (multiplicity 2)
Cl  0.1082  0.5601  0.7559 (multiplicity 6)
Cl  0.1141  0.2312  0.7743 (multiplicity 6)
Cl  0.2103  0.7719  0.2691 (multiplicity 6)

Peak list (10 most intense, 2θ from 10° to 90°, by angle)
two_theta, d_spacing, I/Imax, index
15.99, 5.544, 972, 1 1 0
17.20, 5.156, 1000, 1 0 1
23.56, 3.776, 464, 0 2 1
28.61, 3.121, 447, 2 1 1
31.55, 2.835, 634, 0 3 1
32.30, 2.772, 236, 2 2 0
33.48, 2.676, 387, 1 1 2
36.81, 2.441, 276, 1 3 1
40.82, 2.210, 654, 3 0 2
49.31, 1.848, 338, 3 3 0

(3)
Starting from the GGA-PBE geometry in the Materials Project, the powder XRD pattern of Li2Ti3SbO8 was calculated for a wavelength of 1.5418 Å.
Intensities are scaled so that the largest is 1000.

Atomic structure:
Cell lengths 5.9973, 5.9973, 10.4242 Å; angles 90.00, 90.00, 120.00 degrees
Space group P6_3mc (No. 186)
Asymmetric unit:
Li  0.0000  0.0000  0.0000 (multiplicity 2)
Li  0.3333  0.6667  0.3971 (multiplicity 2)
Ti  0.1708  0.3415  0.7240 (multiplicity 6)
Sb  0.3333  0.6667  0.0095 (multiplicity 2)
O  0.0000  0.0000  0.3184 (multiplicity 2)
O  0.0251  0.5125  0.8269 (multiplicity 6)
O  0.1546  0.3093  0.1118 (multiplicity 6)
O  0.3333  0.6667  0.6174 (multiplicity 2)

Peak list (10 most intense, 2θ from 10° to 90°, by angle)
two_theta, d_spacing, I/Imax, index
19.09, 4.649, 1000, 1 0 1
24.19, 3.679, 295, 1 0 2
30.96, 2.888, 525, 1 0 3
34.50, 2.600, 671, 1 1 2
35.63, 2.520, 283, 2 0 1
38.73, 2.325, 226, 2 0 2
43.51, 2.080, 241, 2 0 3
53.62, 1.709, 232, 2 1 3
56.61, 1.626, 347, 2 0 5
61.89, 1.499, 247, 2 2 0

(4)
Starting from the GGA-PBE geometry in the Materials Project, the powder XRD pattern of PrNdO2 was calculated for a wavelength of 1.5418 Å.
Intensities are scaled so that the largest is 1000.

Atomic structure:
Cell lengths 5.0780, 5.0780, 10.1512 Å; angles 90.00, 90.00, 90.00 degrees
Space group I4_1/amd (No. 141, origin choice 2)
Asymmetric unit:
Pr  0.0000  0.2500  0.3750 (multiplicity 4)
Nd  0.0000  0.2500  0.8750 (multiplicity 4)
O  0.0000  0.2500  0.1232 (multiplicity 8)

Peak list (8 most intense, 2θ from 10° to 90°, by angle)
two_theta, d_spacing, I/Imax, index
30.50, 2.931, 1000, 1 1 2
35.36, 2.539, 816, 2 0 0
50.87, 1.795, 564, 2 2 0
60.48, 1.531, 455, 3 1 2
63.47, 1.466, 189, 2 2 4
74.80, 1.269, 86, 4 0 0
82.88, 1.165, 192, 3 3 2
85.54, 1.135, 245, 4 2 0

(5)
Starting from the GGA-PBE geometry in the Materials Project, the powder XRD pattern of CaH2O2 was calculated for a wavelength of 1.5418 Å.
Intensities are scaled so that the largest is 1000.

Atomic structure:
Cell lengths 5.4681, 6.1656, 6.0506 Å; angles 90.00, 103.72, 90.00 degrees
Space group P2_1/c (No. 14)
Asymmetric unit:
Ca  0.1916  0.0711  0.3117 (multiplicity 4)
H  0.2692  0.7220  0.5658 (multiplicity 4)
H  0.3560  0.0064  0.7942 (multiplicity 4)
O  0.0864  0.7396  0.5024 (multiplicity 4)
O  0.4296  0.1238  0.7240 (multiplicity 4)

Peak list (10 most intense, 2θ from 10° to 90°, by angle)
two_theta, d_spacing, I/Imax, index
20.88, 4.254, 510, 0 1 1
24.46, 3.640, 917, 1 1 -1
29.05, 3.074, 932, 1 1 1
35.27, 2.545, 956, 1 2 -1
36.68, 2.450, 1000, 2 1 -1
38.36, 2.347, 415, 1 0 2
41.16, 2.193, 431, 1 1 2
42.50, 2.127, 454, 0 2 2
43.00, 2.103, 472, 1 2 -2
47.43, 1.917, 640, 1 3 0

(6)
Starting from the GGA-PBE geometry in the Materials Project, the powder XRD pattern of MgCr2S4 was calculated for a wavelength of 1.5418 Å.
Intensities are scaled so that the largest is 1000.

Atomic structure:
Cell lengths 6.1777, 3.5696, 12.7012 Å; angles 90.00, 90.30, 90.00 degrees
Space group Cm (No. 8)
Asymmetric unit:
Mg  0.0000  0.0000  0.0000 (multiplicity 2)
Cr  0.1626  0.5000  0.2908 (multiplicity 2)
Cr  0.1634  0.5000  0.7618 (multiplicity 2)
S  0.3303  0.0000  0.3834 (multiplicity 2)
S  0.3322  0.0000  0.8938 (multiplicity 2)
S  0.4949  0.5000  0.1843 (multiplicity 2)
S  0.4959  0.5000  0.6724 (multiplicity 2)

Peak list (10 most intense, 2θ from 10° to 90°, by angle)
two_theta, d_spacing, I/Imax, index
13.95, 6.350, 860, 0 0 2
20.98, 4.234, 84, 0 0 3
32.22, 2.779, 1000, 1 1 2
40.65, 2.219, 239, 2 0 -4
40.80, 2.212, 392, 1 1 4
51.20, 1.784, 393, 3 1 0
52.32, 1.749, 207, 1 1 -6
52.53, 1.742, 111, 2 0 6
53.30, 1.719, 87, 3 1 -2
61.74, 1.502, 82, 2 2 -2

(7)
Starting from the GGA-PBE geometry in the Materials Project, the powder XRD pattern of HoMnGa was calculated for a wavelength of 1.5418 Å.
Intensities are scaled so that the largest is 1000.

Atomic structure:
Cell lengths 7.4261, 7.4261, 3.6734 Å; angles 90.00, 90.00, 120.00 degrees
Space group P-62m (No. 189)
Asymmetric unit:
Ho  0.0000  0.3985  0.0000 (multiplicity 3)
Mn  0.0000  0.0000  0.0000 (multiplicity 1)
Mn  0.3333  0.6667  0.5000 (multiplicity 2)
Ga  0.0000  0.7264  0.5000 (multiplicity 3)

Peak list (10 most intense, 2θ from 10° to 90°, by angle)
two_theta, d_spacing, I/Imax, index
23.97, 3.713, 213, 1 1 0
34.34, 2.611, 1000, 1 1 1
36.98, 2.431, 314, 2 1 0
37.16, 2.420, 515, 2 0 1
42.15, 2.144, 314, 3 0 0
49.63, 1.837, 149, 0 0 2
51.22, 1.784, 171, 3 1 0
57.43, 1.605, 198, 3 1 1
67.11, 1.395, 151, 3 0 2
68.54, 1.369, 202, 3 2 1

(8)
Starting from the GGA-PBE geometry in the Materials Project, the powder XRD pattern of GdCu2Ge2 was calculated for a wavelength of 1.5418 Å.
Intensities are scaled so that the largest is 1000.

Atomic structure:
Cell lengths 11.0662, 4.1032, 4.1092 Å; angles 90.00, 111.29, 90.00 degrees
Space group C2/m (No. 12)
Asymmetric unit:
Gd  0.0000  0.0000  0.0000 (multiplicity 2)
Cu  0.2498  0.0000  0.7704 (multiplicity 4)
Ge  0.1205  0.5000  0.6040 (multiplicity 4)

Peak list (10 most intense, 2θ from 10° to 90°, by angle)
two_theta, d_spacing, I/Imax, index
30.80, 2.903, 387, 1 1 -1
33.85, 2.648, 268, 2 0 1
34.03, 2.635, 677, 3 1 0
34.16, 2.625, 421, 4 0 -1
35.39, 2.537, 966, 1 1 1
35.58, 2.523, 772, 3 1 -1
44.11, 2.053, 1000, 0 2 0
49.47, 1.843, 283, 5 1 0
56.99, 1.616, 329, 4 2 -1
64.15, 1.452, 311, 2 2 -2

(9)
Starting from the GGA-PBE geometry in the Materials Project, the powder XRD pattern of BaUSi2O8 was calculated for a wavelength of 1.5418 Å.
Intensities are scaled so that the largest is 1000.

Atomic structure:
Cell lengths 5.7350, 16.7902, 7.7059 Å; angles 90.00, 90.00, 90.00 degrees
Space group Cmcm (No. 63)
Asymmetric unit:
Ba  0.0000  0.2110  0.2500 (multiplicity 4)
U  0.0000  0.1220  0.7500 (multiplicity 4)
Si  0.0000  0.4055  0.5404 (multiplicity 8)
O  0.0000  0.0129  0.7500 (multiplicity 4)
O  0.0000  0.2330  0.7500 (multiplicity 4)
O  0.0000  0.3938  0.7500 (multiplicity 4)
O  0.0000  0.5000  0.0000 (multiplicity 4)
O  0.2309  0.3609  0.0375 (multiplicity 16)

Peak list (10 most intense, 2θ from 10° to 90°, by angle)
two_theta, d_spacing, I/Imax, index
15.61, 5.677, 433, 0 2 1
16.33, 5.427, 252, 1 1 0
22.19, 4.005, 392, 1 3 0
23.08, 3.853, 288, 0 0 2
25.06, 3.554, 1000, 1 3 1
28.41, 3.142, 642, 1 1 2
31.19, 2.867, 313, 2 0 0
32.24, 2.777, 320, 1 3 2
34.09, 2.630, 315, 0 6 1
39.16, 2.300, 307, 2 0 2

(10)
Starting from the GGA-PBE geometry in the Materials Project, the powder XRD pattern of Nb3Cu was calculated for a wavelength of 1.5418 Å.
Intensities are scaled so that the largest is 1000.

Atomic structure:
Cell lengths 6.4770, 6.4770, 6.4770 Å; angles 90.00, 90.00, 90.00 degrees
Space group Fm-3m (No. 225)
Asymmetric unit:
Nb  0.0000  0.0000  0.0000 (multiplicity 4)
Nb  0.2500  0.2500  0.2500 (multiplicity 8)
Cu  0.0000  0.0000  0.5000 (multiplicity 4)

Peak list (7 most intense, 2θ from 10° to 90°, by angle)
two_theta, d_spacing, I/Imax, index
23.79, 3.740, 15, 1 1 1
27.54, 3.239, 7, 2 0 0
39.35, 2.290, 1000, 2 2 0
46.50, 1.953, 7, 3 1 1
56.86, 1.619, 165, 4 0 0
71.34, 1.322, 324, 4 2 2
84.64, 1.145, 102, 4 4 0

(11)
Starting from the GGA-PBE geometry in the Materials Project, the powder XRD pattern of Tb3Ga2Ni6 was calculated for a wavelength of 1.5418 Å.
Intensities are scaled so that the largest is 1000.

Atomic structure:
Cell lengths 8.9273, 8.9273, 8.9273 Å; angles 90.00, 90.00, 90.00 degrees
Space group Im-3m (No. 229)
Asymmetric unit:
Tb  0.0000  0.0000  0.2894 (multiplicity 12)
Ga  0.2500  0.2500  0.2500 (multiplicity 8)
Ni  0.0000  0.3378  0.3378 (multiplicity 24)

Peak list (10 most intense, 2θ from 10° to 90°, by angle)
two_theta, d_spacing, I/Imax, index
24.42, 3.645, 201, 2 1 1
31.70, 2.823, 365, 3 1 0
34.81, 2.577, 462, 2 2 2
37.70, 2.386, 265, 3 2 1
40.42, 2.232, 270, 4 0 0
42.98, 2.104, 1000, 3 3 0
56.46, 1.630, 187, 5 2 1
64.33, 1.448, 171, 5 3 2
69.89, 1.346, 209, 6 2 2
78.78, 1.215, 262, 6 3 3

(12)
Starting from the GGA-PBE geometry in the Materials Project, the powder XRD pattern of MgSi was calculated for a wavelength of 1.5418 Å.
Intensities are scaled so that the largest is 1000.

Atomic structure:
Cell lengths 5.5898, 6.1308, 13.7205 Å; angles 100.26, 90.54, 99.96 degrees
Space group P1 (No. 1)
Asymmetric unit:
Mg  0.0000  0.0000  0.0000 (multiplicity 1)
Mg  0.0019  0.4895  0.8351 (multiplicity 1)
Mg  0.1392  0.4334  0.5225 (multiplicity 1)
Mg  0.1591  0.9394  0.4953 (multiplicity 1)
Mg  0.2982  0.8509  0.1957 (multiplicity 1)
Mg  0.3175  0.3554  0.1722 (multiplicity 1)
Mg  0.4852  0.9512  0.8474 (multiplicity 1)
Mg  0.5189  0.4915  0.9861 (multiplicity 1)
Mg  0.6809  0.1344  0.6637 (multiplicity 1)
Mg  0.6973  0.6411  0.6398 (multiplicity 1)
Mg  0.8341  0.5562  0.3369 (multiplicity 1)
Mg  0.8550  0.0623  0.3111 (multiplicity 1)
Si  0.0452  0.5406  0.0405 (multiplicity 1)
Si  0.1882  0.1974  0.6865 (multiplicity 1)
Si  0.2262  0.7896  0.6742 (multiplicity 1)
Si  0.3359  0.6322  0.3595 (multiplicity 1)
Si  0.3484  0.2327  0.3534 (multiplicity 1)
Si  0.4956  0.0410  0.0453 (multiplicity 1)
Si  0.5060  0.4468  0.7912 (multiplicity 1)
Si  0.6482  0.2606  0.4819 (multiplicity 1)
Si  0.6582  0.8601  0.4750 (multiplicity 1)
Si  0.7721  0.7102  0.1558 (multiplicity 1)
Si  0.8126  0.3000  0.1464 (multiplicity 1)
Si  0.9623  0.9535  0.7944 (multiplicity 1)

Peak list (10 most intense, 2θ from 10° to 90°, by angle)
two_theta, d_spacing, I/Imax, index
32.98, 2.716, 463, 0 2 -3
33.52, 2.673, 1000, 2 0 1
34.71, 2.584, 697, 2 0 -2
36.24, 2.479, 438, -1 2 2
36.49, 2.462, 737, 0 2 -4
40.12, 2.248, 746, 0 0 6
40.42, 2.232, 297, 2 -2 1
43.30, 2.089, 533, 2 0 4
44.17, 2.051, 306, -2 2 2
46.14, 1.967, 378, 2 0 -5